For La2HoEr2Tm2, the GGA-PBE geometry in Alexandria gives the computed powder X-ray diffraction pattern in this record (Cu Ka).

Top 12 peaks for 15 to 90 degrees two-theta, sorted by position:
(1 1 1), 2θ 28.62, d = 3.119 Å, intensity 50; (4 0 -1), 2θ 30.60, d = 2.922 Å, intensity 68; (2 0 -4), 2θ 30.77, d = 2.906 Å, intensity 81; (1 1 2), 2θ 32.52, d = 2.753 Å, intensity 100; (2 0 3), 2θ 32.99, d = 2.715 Å, intensity 52; (3 1 -2), 2θ 35.36, d = 2.538 Å, intensity 75; (3 1 -3), 2θ 38.12, d = 2.360 Å, intensity 30; (5 1 1), 2θ 51.60, d = 1.771 Å, intensity 38; (1 1 -6), 2θ 53.90, d = 1.701 Å, intensity 25; (3 1 5), 2θ 60.92, d = 1.521 Å, intensity 22; (7 1 -3), 2θ 61.70, d = 1.503 Å, intensity 40; (2 2 -4), 2θ 61.84, d = 1.500 Å, intensity 22

Atomic structure:
```
data_La2HoEr2Tm2
_cell_length_a 11.7251
_cell_length_b 3.5038
_cell_length_c 11.8323
_cell_angle_alpha 90.00
_cell_angle_beta 108.91
_cell_angle_gamma 90.00
_space_group_name_H-M_alt 'C 1 2/m 1'
_space_group_IT_number 12
loop_
_space_group_symop_operation_xyz
'x,y,z'
'-x,-y,-z'
'-x,y,-z'
'x,-y,z'
'x+1/2,y+1/2,z'
'-x+1/2,-y+1/2,-z'
'-x+1/2,y+1/2,-z'
'x+1/2,-y+1/2,z'
loop_
_atom_site_label
_atom_site_type_symbol
_atom_site_fract_x
_atom_site_fract_y
_atom_site_fract_z
_atom_site_occupancy
La1 La 0.1725 0.0000 0.0845 1
Ho1 Ho 0.0000 0.5000 0.5000 1
Er1 Er 0.2275 0.5000 0.3673 1
Tm1 Tm 0.0477 0.0000 0.7662 1
```

For La4Ho2ErTm, the GGA-PBE geometry in Alexandria gives the computed powder X-ray diffraction pattern in this record (Cu Ka).

Top 12 peaks for 15 to 90 degrees two-theta, sorted by position:
(1 1 2), 2θ 30.21, d = 2.958 Å, intensity 100; (0 2 0), 2θ 34.14, d = 2.626 Å, intensity 18; (2 0 0), 2θ 34.29, d = 2.615 Å, intensity 18; (0 0 4), 2θ 36.60, d = 2.455 Å, intensity 15; (2 2 0), 2θ 49.17, d = 1.853 Å, intensity 13; (0 2 4), 2θ 50.92, d = 1.793 Å, intensity 12; (2 0 4), 2θ 51.02, d = 1.790 Å, intensity 12; (1 3 2), 2θ 58.71, d = 1.573 Å, intensity 15; (3 1 2), 2θ 58.90, d = 1.568 Å, intensity 15; (1 1 6), 2θ 61.98, d = 1.497 Å, intensity 13; (2 2 4), 2θ 62.83, d = 1.479 Å, intensity 12; (3 3 2), 2θ 80.11, d = 1.198 Å, intensity 6

Atomic structure:
```
data_La4Ho2ErTm
_cell_length_a 5.2300
_cell_length_b 5.2521
_cell_length_c 9.8207
_cell_angle_alpha 90.00
_cell_angle_beta 90.00
_cell_angle_gamma 90.00
_space_group_name_H-M_alt 'P m m m'
_space_group_IT_number 47
loop_
_space_group_symop_operation_xyz
'x,y,z'
'-x,-y,-z'
'-x,-y,z'
'x,y,-z'
'x,-y,-z'
'-x,y,z'
'-x,y,-z'
'x,-y,z'
loop_
_atom_site_label
_atom_site_type_symbol
_atom_site_fract_x
_atom_site_fract_y
_atom_site_fract_z
_atom_site_occupancy
La1 La 0.0000 0.0000 0.2496 1
La2 La 0.5000 0.5000 0.2496 1
Ho1 Ho 0.0000 0.5000 0.0000 1
Ho2 Ho 0.5000 0.0000 0.5000 1
Er1 Er 0.0000 0.5000 0.5000 1
Tm1 Tm 0.5000 0.0000 0.0000 1
```

For La4HoEr2Tm, the GGA-PBE geometry in Alexandria gives the computed powder X-ray diffraction pattern in this record (Cu Ka).

Top 12 peaks for 15 to 90 degrees two-theta, sorted by position:
(1 1 2), 2θ 30.23, d = 2.956 Å, intensity 100; (0 2 0), 2θ 34.15, d = 2.625 Å, intensity 18; (2 0 0), 2θ 34.29, d = 2.615 Å, intensity 18; (0 0 4), 2θ 36.66, d = 2.451 Å, intensity 15; (2 2 0), 2θ 49.17, d = 1.853 Å, intensity 13; (2 0 4), 2θ 51.02, d = 1.790 Å, intensity 23; (1 3 2), 2θ 58.73, d = 1.572 Å, intensity 15; (3 1 2), 2θ 58.91, d = 1.568 Å, intensity 15; (1 1 6), 2θ 62.08, d = 1.495 Å, intensity 13; (2 2 4), 2θ 62.87, d = 1.478 Å, intensity 12; (3 3 2), 2θ 80.12, d = 1.198 Å, intensity 6; (1 3 6), 2θ 82.91, d = 1.164 Å, intensity 6

Atomic structure:
```
data_La4HoEr2Tm
_cell_length_a 5.2306
_cell_length_b 5.2510
_cell_length_c 9.8046
_cell_angle_alpha 90.00
_cell_angle_beta 90.00
_cell_angle_gamma 90.00
_space_group_name_H-M_alt 'P m m m'
_space_group_IT_number 47
loop_
_space_group_symop_operation_xyz
'x,y,z'
'-x,-y,-z'
'-x,-y,z'
'x,y,-z'
'x,-y,-z'
'-x,y,z'
'-x,y,-z'
'x,-y,z'
loop_
_atom_site_label
_atom_site_type_symbol
_atom_site_fract_x
_atom_site_fract_y
_atom_site_fract_z
_atom_site_occupancy
La1 La 0.0000 0.0000 0.2492 1
La2 La 0.5000 0.5000 0.2494 1
Ho1 Ho 0.0000 0.5000 0.5000 1
Er1 Er 0.0000 0.5000 0.0000 1
Er2 Er 0.5000 0.0000 0.5000 1
Tm1 Tm 0.5000 0.0000 0.0000 1
```